Calculated XRD peak list
Compound: Pr4B3Rh12
Radiation: Cu Ka
Structure: a GGA-PBE-relaxed structure

Peak list (8 most intense, 2θ = 10–90°, sorted by position)
2θ/deg	I (rel.)
36.66	100
42.23	36
43.30	16
61.25	12
62.08	21
73.55	25
75.07	11
77.95	11

Crystal structure
Cell lengths 4.280, 4.280, 16.716 Å; angles 90.00, 90.00, 90.00 degrees
Atoms (fractional coordinates):
Pr1 0.000 0.000 0.120
Pr2 0.000 0.000 0.374
Pr3 0.000 0.000 0.626
Pr4 0.000 0.000 0.880
B1 0.500 0.500 0.239
B2 0.500 0.500 0.500
B3 0.500 0.500 0.761
Rh1 0.000 0.500 0.000
Rh2 0.000 0.500 0.247
Rh3 0.000 0.500 0.500
Rh4 0.000 0.500 0.753
Rh5 0.500 0.000 0.000
Rh6 0.500 0.000 0.247
Rh7 0.500 0.000 0.500
Rh8 0.500 0.000 0.753
Rh9 0.500 0.500 0.115
Rh10 0.500 0.500 0.371
Rh11 0.500 0.500 0.629
Rh12 0.500 0.500 0.885

***

Calculated XRD peak list
Compound: PrSmB12
Radiation: Cu Ka
Structure: a GGA-PBE-relaxed structure

Peak list (8 most intense, 2θ = 10–90°, sorted by position)
2θ/deg	I (rel.)
21.50	66
30.59	100
37.70	42
43.82	21
49.31	50
54.38	27
68.07	28
72.31	20

Crystal structure
Cell lengths 5.844, 5.844, 4.133 Å; angles 90.00, 90.00, 90.00 degrees
Atoms (fractional coordinates):
Pr1 0.000 0.000 0.000
Sm1 0.500 0.500 0.000
B1 0.000 0.500 0.200
B2 0.000 0.500 0.800
B3 0.151 0.350 0.500
B4 0.151 0.650 0.500
B5 0.350 0.151 0.500
B6 0.350 0.849 0.500
B7 0.500 0.000 0.200
B8 0.500 0.000 0.800
B9 0.650 0.151 0.500
B10 0.650 0.849 0.500
B11 0.849 0.350 0.500
B12 0.849 0.650 0.500

***

Calculated XRD peak list
Compound: BPt2
Radiation: Cu Ka
Structure: a GGA-PBE-relaxed structure

Peak list (8 most intense, 2θ = 10–90°, sorted by position)
2θ/deg	I (rel.)
34.53	55
35.11	45
36.19	100
44.03	97
50.06	30
62.98	34
73.84	63
80.02	17

Crystal structure
Cell lengths 2.952, 2.952, 10.391 Å; angles 90.00, 90.00, 120.00 degrees
Atoms (fractional coordinates):
B1 0.333 0.667 0.250
B2 0.667 0.333 0.750
Pt1 0.333 0.667 0.616
Pt2 0.333 0.667 0.884
Pt3 0.667 0.333 0.116
Pt4 0.667 0.333 0.384

***

Calculated XRD peak list
Compound: BPt3
Radiation: Cu Ka
Structure: a GGA-PBE-relaxed structure

Peak list (8 most intense, 2θ = 10–90°, sorted by position)
2θ/deg	I (rel.)
24.88	17
28.81	57
35.66	55
38.42	70
43.97	100
51.04	22
55.60	41
75.19	36

Crystal structure
Cell lengths 7.157, 7.157, 2.755 Å; angles 90.00, 90.00, 120.00 degrees
Atoms (fractional coordinates):
B1 0.333 0.667 0.250
B2 0.667 0.333 0.750
Pt1 0.197 0.395 0.750
Pt2 0.197 0.803 0.750
Pt3 0.395 0.197 0.250
Pt4 0.605 0.803 0.750
Pt5 0.803 0.197 0.250
Pt6 0.803 0.605 0.250

***

Calculated XRD peak list
Compound: YBPt3
Radiation: Cu Ka
Structure: a GGA-PBE-relaxed structure

Peak list (8 most intense, 2θ = 10–90°, sorted by position)
2θ/deg	I (rel.)
20.44	8
29.07	5
35.80	100
41.57	52
46.75	4
60.25	35
72.10	40
75.86	12

Crystal structure
Cell lengths 4.345, 4.345, 4.345 Å; angles 90.00, 90.00, 90.00 degrees
Atoms (fractional coordinates):
Y1 0.000 0.000 0.000
B1 0.500 0.500 0.500
Pt1 0.000 0.500 0.500
Pt2 0.500 0.000 0.500
Pt3 0.500 0.500 0.000

***

Calculated XRD peak list
Compound: YBPt2
Radiation: Cu Ka
Structure: a GGA-PBE-relaxed structure

Peak list (8 most intense, 2θ = 10–90°, sorted by position)
2θ/deg	I (rel.)
33.63	44
35.33	100
40.53	76
57.53	26
61.00	19
64.59	17
68.32	15
80.18	19

Crystal structure
Cell lengths 5.360, 5.360, 7.994 Å; angles 90.00, 90.00, 120.00 degrees
Atoms (fractional coordinates):
Y1 0.000 0.500 0.167
Y2 0.500 0.000 0.500
Y3 0.500 0.500 0.833
B1 0.000 0.500 0.667
B2 0.500 0.000 0.000
B3 0.500 0.500 0.333
Pt1 0.152 0.305 0.500
Pt2 0.152 0.848 0.833
Pt3 0.305 0.152 0.167
Pt4 0.695 0.848 0.167
Pt5 0.848 0.152 0.833
Pt6 0.848 0.695 0.500

***

Calculated XRD peak list
Compound: PuB12
Radiation: Cu Ka
Structure: a GGA-PBE-relaxed structure

Peak list (8 most intense, 2θ = 10–90°, sorted by position)
2θ/deg	I (rel.)
20.59	100
23.82	68
33.93	45
40.02	88
41.88	26
53.45	32
60.72	26
75.23	29

Crystal structure
Cell lengths 5.284, 5.284, 5.284 Å; angles 60.00, 60.00, 60.00 degrees
Atoms (fractional coordinates):
Pu1 0.000 0.000 0.000
B1 0.162 0.500 0.500
B2 0.162 0.500 0.838
B3 0.162 0.838 0.500
B4 0.500 0.162 0.500
B5 0.500 0.162 0.838
B6 0.500 0.500 0.162
B7 0.500 0.500 0.838
B8 0.500 0.838 0.162
B9 0.500 0.838 0.500
B10 0.838 0.162 0.500
B11 0.838 0.500 0.162
B12 0.838 0.500 0.500

***

Calculated XRD peak list
Compound: PuB2
Radiation: Cu Ka
Structure: a GGA-PBE-relaxed structure

Peak list (8 most intense, 2θ = 10–90°, sorted by position)
2θ/deg	I (rel.)
22.27	58
32.75	74
39.97	100
57.14	32
58.46	18
63.36	22
73.17	18
77.02	16

Crystal structure
Cell lengths 3.157, 3.157, 3.991 Å; angles 90.00, 90.00, 120.00 degrees
Atoms (fractional coordinates):
Pu1 0.000 0.000 0.000
B1 0.333 0.667 0.500
B2 0.667 0.333 0.500

***

Calculated XRD peak list
Compound: PuB4
Radiation: Cu Ka
Structure: a GGA-PBE-relaxed structure

Peak list (8 most intense, 2θ = 10–90°, sorted by position)
2θ/deg	I (rel.)
22.13	71
25.06	53
28.08	81
33.68	65
36.04	100
53.15	34
54.01	28
58.26	43

Crystal structure
Cell lengths 7.106, 7.106, 4.017 Å; angles 90.00, 90.00, 90.00 degrees
Atoms (fractional coordinates):
Pu1 0.187 0.313 0.000
Pu2 0.313 0.813 0.000
Pu3 0.687 0.187 0.000
Pu4 0.813 0.687 0.000
B1 0.000 0.000 0.202
B2 0.000 0.000 0.798
B3 0.039 0.823 0.500
B4 0.087 0.587 0.500
B5 0.177 0.039 0.500
B6 0.323 0.539 0.500
B7 0.413 0.087 0.500
B8 0.461 0.323 0.500
B9 0.500 0.500 0.202
B10 0.500 0.500 0.798
B11 0.539 0.677 0.500
B12 0.587 0.913 0.500
B13 0.677 0.461 0.500
B14 0.823 0.961 0.500
B15 0.913 0.413 0.500
B16 0.961 0.177 0.500

***

Calculated XRD peak list
Compound: PuB2Rh3
Radiation: Cu Ka
Structure: a GGA-PBE-relaxed structure

Peak list (8 most intense, 2θ = 10–90°, sorted by position)
2θ/deg	I (rel.)
18.13	25
35.69	81
36.73	100
44.53	50
59.04	39
66.14	19
75.61	24
77.49	18

Crystal structure
Cell lengths 5.651, 5.651, 2.932 Å; angles 90.00, 90.00, 120.00 degrees
Atoms (fractional coordinates):
Pu1 0.000 0.000 0.000
B1 0.333 0.667 0.000
B2 0.667 0.333 0.000
Rh1 0.000 0.500 0.500
Rh2 0.500 0.000 0.500
Rh3 0.500 0.500 0.500

***

Calculated XRD peak list
Compound: PuB4Ru
Radiation: Cu Ka
Structure: a GGA-PBE-relaxed structure

Peak list (8 most intense, 2θ = 10–90°, sorted by position)
2θ/deg	I (rel.)
24.18	17
25.25	59
30.82	49
30.93	38
40.29	100
46.08	17
61.57	26
68.11	18

Crystal structure
Cell lengths 5.982, 5.982, 3.527 Å; angles 90.00, 90.00, 104.04 degrees
Atoms (fractional coordinates):
Pu1 0.200 0.800 0.000
Pu2 0.800 0.200 0.000
B1 0.119 0.435 0.500
B2 0.123 0.123 0.500
B3 0.408 0.592 0.500
B4 0.435 0.119 0.500
B5 0.565 0.881 0.500
B6 0.592 0.408 0.500
B7 0.877 0.877 0.500
B8 0.881 0.565 0.500
Ru1 0.317 0.317 0.000
Ru2 0.683 0.683 0.000

***

Calculated XRD peak list
Compound: PuB4Ru4
Radiation: Cu Ka
Structure: a GGA-PBE-relaxed structure

Peak list (8 most intense, 2θ = 10–90°, sorted by position)
2θ/deg	I (rel.)
23.88	20
32.25	40
33.86	29
39.81	45
40.09	100
40.38	24
41.86	15
71.24	22

Crystal structure
Cell lengths 9.185, 9.185, 9.185 Å; angles 132.13, 132.13, 70.03 degrees
Atoms (fractional coordinates):
Pu1 0.125 0.375 0.750
Pu2 0.375 0.125 0.250
Pu3 0.625 0.875 0.750
Pu4 0.875 0.625 0.250
B1 0.066 0.126 0.277
B2 0.126 0.349 0.059
B3 0.151 0.374 0.441
B4 0.210 0.934 0.559
B5 0.290 0.849 0.723
B6 0.349 0.790 0.223
B7 0.374 0.434 0.223
B8 0.434 0.710 0.059
B9 0.566 0.290 0.941
B10 0.626 0.566 0.777
B11 0.651 0.210 0.777
B12 0.710 0.151 0.277
B13 0.790 0.066 0.441
B14 0.849 0.626 0.559
B15 0.874 0.651 0.941
B16 0.934 0.874 0.723
Ru1 0.037 0.823 0.985
Ru2 0.052 0.037 0.714
Ru3 0.162 0.677 0.714
Ru4 0.177 0.662 0.214
Ru5 0.323 0.537 0.485
Ru6 0.338 0.052 0.515
Ru7 0.448 0.162 0.985
Ru8 0.463 0.448 0.786
Ru9 0.537 0.552 0.214
Ru10 0.552 0.838 0.015
Ru11 0.662 0.948 0.485
Ru12 0.677 0.463 0.515
Ru13 0.823 0.338 0.786
Ru14 0.838 0.323 0.286
Ru15 0.948 0.963 0.286
Ru16 0.963 0.177 0.015